For Li2Mn3FeO8, DFT lattice parameters and positions (PBE+U) gives the simulated X-ray powder pattern in this record (Cu Kα (λ = 1.5418 Å)).
Intensities are scaled so that the largest is 100.

Principal peaks in the range 2θ from 10° to 80°, low angle first:
- 2θ = 18.76°, I 100
- 2θ = 19.49°, I 60
- 2θ = 19.86°, I 98
- 2θ = 33.45°, I 40
- 2θ = 35.64°, I 62
- 2θ = 36.67°, I 53
- 2θ = 40.34°, I 40
- 2θ = 45.91°, I 60
- 2θ = 61.09°, I 51
- 2θ = 62.41°, I 44

Crystal structure
```
Li2Mn3FeO8
1.0
2.907 -5.197 0.000
2.907 5.197 0.000
0.000 0.000 9.462
Li Mn Fe O
4 6 2 16
direct
0.005 0.995 0.500 Li
0.334 0.666 0.390 Li
0.666 0.334 0.890 Li
0.995 0.005 0.000 Li
0.169 0.339 0.714 Mn
0.170 0.830 0.720 Mn
0.339 0.169 0.214 Mn
0.661 0.831 0.714 Mn
0.830 0.170 0.220 Mn
0.831 0.661 0.214 Mn
0.337 0.663 0.995 Fe
0.663 0.337 0.495 Fe
0.015 0.985 0.314 O
0.040 0.511 0.836 O
0.161 0.839 0.099 O
0.166 0.325 0.107 O
0.325 0.166 0.607 O
0.348 0.652 0.601 O
0.480 0.520 0.835 O
0.489 0.960 0.836 O
0.511 0.040 0.336 O
0.520 0.480 0.335 O
0.652 0.348 0.101 O
0.675 0.834 0.107 O
0.834 0.675 0.607 O
0.839 0.161 0.599 O
0.960 0.489 0.336 O
0.985 0.015 0.814 O
```